The following is a simulated powder diffraction line list of VMo6Se8. It was derived from a crystal structure in the Materials Project, relaxed with PBE, using Cu Kα, 1.54184 Å.
No peak broadening, texture or thermal motion is included.

Most intense lines, 2θ from 5° to 70°, sorted by position:
two_theta, I/Imax, hkl
13.25, 100.0, 1 0 1
32.75, 67.2, 1 2 2
40.22, 84.1, 1 3 1
41.02, 33.1, 0 1 5
42.98, 36.9, 3 -1 4
44.93, 92.5, 4 -2 3

Structure:
Unit cell a=9.5194 b=9.5194 c=11.4149 alpha=90.00 beta=90.00 gamma=120.00
Space group R-3 (No. 148, hexagonal axes)
One atom of each set of equivalent atoms:
V1 0.0000 0.0000 0.0000 (multiplicity 3)
Mo1 0.0234 0.8501 0.4001 (multiplicity 18)
Se1 0.0000 0.0000 0.2245 (multiplicity 6)
Se2 0.0117 0.3870 0.7469 (multiplicity 18)